This entry pairs a crystal structure of YPaCN with its calculated XRD peak list. Radiation: Cu Kα X-rays. Structure: a cell relaxed with PBE.

Crystal structure
```
data_YPaCN
_cell_length_a 3.5794
_cell_length_b 3.5794
_cell_length_c 17.2052
_cell_angle_alpha 90.00
_cell_angle_beta 90.00
_cell_angle_gamma 120.00
_space_group_name_H-M_alt 'R 3 m'
_space_group_IT_number 160
_space_group_name_Hall 'R 3 -2"'
loop_
_atom_site_label
_atom_site_type_symbol
_atom_site_fract_x
_atom_site_fract_y
_atom_site_fract_z
Y1 Y 0.0000 0.0000 0.0000
Pa1 Pa 0.0000 0.0000 0.4996
C1 C 0.0000 0.0000 0.2428
N1 N 0.0000 0.0000 0.7567
```

Largest 10 diffraction maxima, in order of rising 2θ, 10° ≤ 2θ ≤ 90°:
hkl 0 0 3, 15.45 deg, I 36
hkl 1 0 1, 29.27 deg, I 23
hkl 0 1 2, 30.66 deg, I 100
hkl 0 0 6, 31.19 deg, I 32
hkl 1 0 4, 35.70 deg, I 91
hkl 1 1 0, 51.03 deg, I 33
hkl 0 1 8, 51.73 deg, I 31
hkl 2 0 2, 60.71 deg, I 15
hkl 1 1 6, 61.03 deg, I 30
hkl 0 2 4, 63.83 deg, I 16